Theoretical XRD peak list of Th6FeBr15 for Cu Kα (λ = 1.5418 Å), from a GGA-PBE-relaxed structure.
No peak broadening, texture or thermal motion is included.

Atomic structure:
abc: 10.0710 10.0710 10.0710
angles: 109.47 109.47 109.47
Fractional coordinates of all 22 atoms:
1 Th 0.0000 0.2381 0.2381
2 Th 0.0000 0.7619 0.7619
3 Th 0.2381 0.0000 0.2381
4 Th 0.2381 0.2381 0.0000
5 Th 0.7619 0.0000 0.7619
6 Th 0.7619 0.7619 0.0000
7 Fe 0.0000 0.0000 0.0000
8 Br 0.0000 0.2524 0.7476
9 Br 0.0000 0.5000 0.5000
10 Br 0.0000 0.7476 0.2524
11 Br 0.2524 0.0000 0.7476
12 Br 0.2524 0.2524 0.5048
13 Br 0.2524 0.5048 0.2524
14 Br 0.2524 0.7476 0.0000
15 Br 0.4952 0.7476 0.7476
16 Br 0.5000 0.0000 0.5000
17 Br 0.5000 0.5000 0.0000
18 Br 0.5048 0.2524 0.2524
19 Br 0.7476 0.0000 0.2524
20 Br 0.7476 0.2524 0.0000
21 Br 0.7476 0.4952 0.7476
22 Br 0.7476 0.7476 0.4952

Peak list (10 most intense, 10 to 90 degrees two-theta, low angle first)
d 8.223, 10.8°, rel. 74.3
d 4.748, 18.7°, rel. 29.0
d 3.108, 28.7°, rel. 40.4
d 2.907, 30.8°, rel. 100.0
d 2.479, 36.2°, rel. 18.2
d 2.281, 39.5°, rel. 17.8
d 2.056, 44.0°, rel. 73.2
d 1.679, 54.7°, rel. 25.4
d 1.300, 72.7°, rel. 31.8
d 1.187, 81.0°, rel. 23.6